Structure and simulated PXRD pattern of Th2Cd3Fe2 (a GGA-PBE-relaxed structure; Cu Kα (λ = 1.5418 Å)).
Kinematic intensities with the Lorentz-polarization factor, no thermal factor.

Atomic structure:
```
data_Th2Cd3Fe2
_chemical_formula_sum 'Th4 Cd6 Fe4'
_cell_length_a 3.887
_cell_length_b 20.916
_cell_length_c 3.884
_cell_angle_alpha 90.00
_cell_angle_beta 90.00
_cell_angle_gamma 90.00
_symmetry_space_group_name_H-M 'C m m m'
_symmetry_Int_Tables_number 65
_symmetry_space_group_name_Hall '-C 2 2'
loop_
_atom_site_label
_atom_site_type_symbol
_atom_site_fract_x
_atom_site_fract_y
_atom_site_fract_z
Th1 Th 0.000 0.174 0.000
Cd1 Cd 0.000 0.000 0.000
Cd2 Cd 0.000 0.425 0.500
Fe1 Fe 0.000 0.284 0.500
```

Peak list (10 most intense, 2θ from 5° to 70°, by angle)
8.45°, rel. 23, (0 2 0); 26.25°, rel. 24, (1 3 0); 31.42°, rel. 42, (1 5 0); 32.88°, rel. 100, (1 1 1); 34.57°, rel. 91, (0 6 1); 35.11°, rel. 36, (1 3 1); 37.98°, rel. 34, (1 7 0); 39.23°, rel. 26, (1 5 1); 46.76°, rel. 51, (2 0 0); 59.42°, rel. 38, (2 6 1)


Structure and simulated PXRD pattern of Sm2P7Pd12 (a GGA-PBE-relaxed structure; Cu Kα (λ = 1.5418 Å)).
Kinematic intensities with the Lorentz-polarization factor, no thermal factor.

Atomic structure:
```
data_Sm2P7Pd12
_chemical_formula_sum 'Sm2 P7 Pd12'
_cell_length_a 9.7719
_cell_length_b 9.7719
_cell_length_c 4.0474
_cell_angle_alpha 90.00
_cell_angle_beta 90.00
_cell_angle_gamma 120.00
_symmetry_space_group_name_H-M 'P -3'
_symmetry_Int_Tables_number 147
loop_
_symmetry_equiv_pos_as_xyz
'x,y,z'
'-x,-y,-z'
'-y,x-y,z'
'y,-x+y,-z'
'-x+y,-x,z'
'x-y,x,-z'
loop_
_atom_site_label
_atom_site_type_symbol
_atom_site_fract_x
_atom_site_fract_y
_atom_site_fract_z
Sm1 Sm 0.3333 0.6667 0.2494
P1 P 0.0000 0.0000 0.0000
P2 P 0.1178 0.4123 0.7482
Pd1 Pd 0.0610 0.6224 0.7519
Pd2 Pd 0.1039 0.8545 0.2615
```

Peak list (10 most intense, 2θ from 5° to 70°, by angle)
27.89°, rel. 14, (1 2 0); 35.78°, rel. 100, (1 2 1); 38.92°, rel. 8, (0 3 1); 44.63°, rel. 8, (4 -3 1); 44.78°, rel. 17, (0 0 2); 46.79°, rel. 10, (2 3 0); 49.35°, rel. 17, (4 1 0); 53.59°, rel. 6, (3 -1 2); 62.44°, rel. 9, (6 -2 1); 68.82°, rel. 11, (4 1 2)


Structure and simulated PXRD pattern of PmGa2Ir3 (a GGA-PBE-relaxed structure; Cu Kα (λ = 1.5418 Å)).
Kinematic intensities with the Lorentz-polarization factor, no thermal factor.

Atomic structure:
```
data_PmGa2Ir3
_chemical_formula_sum 'Pm1 Ga2 Ir3'
_cell_length_a 5.6096
_cell_length_b 5.6096
_cell_length_c 3.9057
_cell_angle_alpha 90.00
_cell_angle_beta 90.00
_cell_angle_gamma 120.00
_symmetry_space_group_name_H-M 'P 6/m m m'
_symmetry_Int_Tables_number 191
_symmetry_space_group_name_Hall '-P 6 2'
loop_
_atom_site_label
_atom_site_type_symbol
_atom_site_fract_x
_atom_site_fract_y
_atom_site_fract_z
Pm1 Pm 0.0000 0.0000 0.0000
Ga1 Ga 0.3333 0.6667 0.0000
Ir1 Ir 0.0000 0.5000 0.5000
```

Peak list (10 most intense, 2θ from 5° to 70°, by angle)
22.77°, rel. 20, (0 0 1); 29.34°, rel. 62, (1 0 1); 37.01°, rel. 100, (2 0 0); 39.56°, rel. 95, (1 1 1); 43.89°, rel. 74, (2 0 1); 46.50°, rel. 32, (0 0 2); 55.28°, rel. 22, (2 1 1); 60.87°, rel. 48, (2 0 2); 62.04°, rel. 25, (3 0 1); 66.69°, rel. 32, (2 2 0)